[1]
For Li8FeS6, a structure optimized by DFT (GGA-PBE) gives the theoretical X-ray powder pattern in this record (Cu Kα (λ = 1.5418 Å)).
Kinematic intensities with the Lorentz-polarization factor, no thermal factor.

The 10 most intense peaks (10° ≤ 2θ ≤ 80°), by angle:
- d 5.899, I 63
- d 4.436, I 100
- d 3.406, I 46
- d 3.366, I 58
- d 3.302, I 69
- d 3.039, I 42
- d 2.114, I 40
- d 1.966, I 63
- d 1.874, I 30
- d 1.698, I 36

Structure:
Cell: 6.8114 6.8114 13.4620 Å, 90.00 90.00 120.00°
Atoms (fractional coordinates):
Li: 0.0000 0.3134 0.0000
Li: 0.0000 0.3714 0.3633
Li: 0.0000 0.6286 0.8633
Li: 0.0000 0.6866 0.5000
Li: 0.3134 0.0000 0.0000
Li: 0.3134 0.3134 0.5000
Li: 0.3333 0.6667 0.1341
Li: 0.3333 0.6667 0.6341
Li: 0.3714 0.0000 0.3633
Li: 0.3714 0.3714 0.8633
Li: 0.6286 0.0000 0.8633
Li: 0.6286 0.6286 0.3633
Li: 0.6667 0.3333 0.1341
Li: 0.6667 0.3333 0.6341
Li: 0.6866 0.0000 0.5000
Li: 0.6866 0.6866 0.0000
Fe: 0.0000 0.0000 0.2334
Fe: 0.0000 0.0000 0.7334
S: 0.0000 0.0000 0.4029
S: 0.0000 0.0000 0.9029
S: 0.0000 0.3052 0.1841
S: 0.0000 0.6948 0.6841
S: 0.3052 0.0000 0.1841
S: 0.3052 0.3052 0.6841
S: 0.3333 0.6667 0.4506
S: 0.3333 0.6667 0.9506
S: 0.6667 0.3333 0.4506
S: 0.6667 0.3333 0.9506
S: 0.6948 0.0000 0.6841
S: 0.6948 0.6948 0.1841


[2]
For Cs4PbI6, a structure optimized by DFT (GGA-PBE) gives the theoretical X-ray powder pattern in this record (Cu Kα (λ = 1.5418 Å)).
Kinematic intensities with the Lorentz-polarization factor, no thermal factor.

The 10 most intense peaks (10° ≤ 2θ ≤ 80°), by angle:
- d 7.553, I 32
- d 7.452, I 23
- d 4.307, I 30
- d 3.776, I 23
- d 3.516, I 50
- d 3.368, I 74
- d 3.195, I 100
- d 2.499, I 32
- d 2.151, I 24
- d 1.714, I 27

Structure:
Cell: 10.6113 10.6113 10.6113 Å, 89.23 89.23 89.23°
Atoms (fractional coordinates):
Cs: 0.1259 0.7500 0.3741
Cs: 0.2500 0.2500 0.2500
Cs: 0.2500 0.6259 0.8741
Cs: 0.3741 0.1259 0.7500
Cs: 0.6259 0.8741 0.2500
Cs: 0.7500 0.3741 0.1259
Cs: 0.7500 0.7500 0.7500
Cs: 0.8741 0.2500 0.6259
Pb: 0.0000 0.0000 0.0000
Pb: 0.5000 0.5000 0.5000
I: 0.0612 0.9274 0.7058
I: 0.0726 0.2942 0.9388
I: 0.2058 0.4274 0.5612
I: 0.2942 0.9388 0.0726
I: 0.4274 0.5612 0.2058
I: 0.4388 0.7942 0.5726
I: 0.5612 0.2058 0.4274
I: 0.5726 0.4388 0.7942
I: 0.7058 0.0612 0.9274
I: 0.7942 0.5726 0.4388
I: 0.9274 0.7058 0.0612
I: 0.9388 0.0726 0.2942


[3]
For Co5As2, a structure optimized by DFT (GGA-PBE) gives the theoretical X-ray powder pattern in this record (Cu Kα (λ = 1.5418 Å)).
Kinematic intensities with the Lorentz-polarization factor, no thermal factor.

The 10 most intense peaks (10° ≤ 2θ ≤ 80°), by angle:
- d 2.976, I 9
- d 2.287, I 7
- d 2.187, I 14
- d 2.131, I 22
- d 2.000, I 85
- d 1.959, I 100
- d 1.805, I 12
- d 1.763, I 12
- d 1.400, I 17
- d 1.236, I 10

Structure:
Cell: 6.7868 6.7868 12.3794 Å, 90.00 90.00 120.00°
Atoms (fractional coordinates):
Co: 0.0000 0.0000 0.0000
Co: 0.0000 0.0000 0.5000
Co: 0.0000 0.2706 0.1703
Co: 0.0000 0.3069 0.3752
Co: 0.0000 0.3700 0.9761
Co: 0.0000 0.3736 0.7651
Co: 0.0000 0.6264 0.2651
Co: 0.0000 0.6300 0.4761
Co: 0.0000 0.6931 0.8752
Co: 0.0000 0.7294 0.6703
Co: 0.2706 0.0000 0.1703
Co: 0.2706 0.2706 0.6703
Co: 0.3069 0.0000 0.3752
Co: 0.3069 0.3069 0.8752
Co: 0.3333 0.6667 0.1387
Co: 0.3333 0.6667 0.6387
Co: 0.3700 0.0000 0.9761
Co: 0.3700 0.3700 0.4761
Co: 0.3736 0.0000 0.7651
Co: 0.3736 0.3736 0.2651
Co: 0.6264 0.0000 0.2651
Co: 0.6264 0.6264 0.7651
Co: 0.6300 0.0000 0.4761
Co: 0.6300 0.6300 0.9761
Co: 0.6667 0.3333 0.1387
Co: 0.6667 0.3333 0.6387
Co: 0.6931 0.0000 0.8752
Co: 0.6931 0.6931 0.3752
Co: 0.7294 0.0000 0.6703
Co: 0.7294 0.7294 0.1703
As: 0.0000 0.0000 0.2978
As: 0.0000 0.0000 0.7978
As: 0.0000 0.3286 0.5689
As: 0.0000 0.6714 0.0689
As: 0.3286 0.0000 0.5689
As: 0.3286 0.3286 0.0689
As: 0.3333 0.6667 0.3429
As: 0.3333 0.6667 0.8429
As: 0.6667 0.3333 0.3429
As: 0.6667 0.3333 0.8429
As: 0.6714 0.0000 0.0689
As: 0.6714 0.6714 0.5689


[4]
For Tb2ZnCuSi2, a structure optimized by DFT (GGA-PBE) gives the theoretical X-ray powder pattern in this record (Cu Kα (λ = 1.5418 Å)).
Kinematic intensities with the Lorentz-polarization factor, no thermal factor.

The 10 most intense peaks (10° ≤ 2θ ≤ 80°), by angle:
- d 3.538, I 30
- d 2.662, I 100
- d 2.043, I 34
- d 2.020, I 11
- d 1.754, I 9
- d 1.621, I 22
- d 1.436, I 22
- d 1.270, I 6
- d 1.269, I 13
- d 1.259, I 9

Structure:
Cell: 4.0851 4.0406 7.0775 Å, 90.00 90.08 90.00°
Atoms (fractional coordinates):
Tb: 0.0000 0.0000 0.0000
Tb: 0.4999 0.0000 0.4933
Zn: 0.5002 0.5000 0.8318
Cu: 0.0001 0.5000 0.3289
Si: 0.9998 0.5000 0.6565
Si: 0.4998 0.5000 0.1695


[5]
For K3RuF12, a structure optimized by DFT (GGA-PBE) gives the theoretical X-ray powder pattern in this record (Cu Kα (λ = 1.5418 Å)).
Kinematic intensities with the Lorentz-polarization factor, no thermal factor.

The 10 most intense peaks (10° ≤ 2θ ≤ 80°), by angle:
- d 7.435, I 89
- d 6.803, I 100
- d 6.680, I 28
- d 3.987, I 15
- d 3.717, I 30
- d 3.402, I 9
- d 3.381, I 13
- d 2.620, I 12
- d 2.113, I 9
- d 1.991, I 9

Structure:
Cell: 8.0523 8.0523 6.8373 Å, 93.20 93.20 112.10°
Atoms (fractional coordinates):
K: 0.0000 0.0000 0.0000
K: 0.0000 0.5000 0.5000
K: 0.5000 0.0000 0.5000
Ru: 0.0000 0.0000 0.5000
F: 0.0367 0.2112 0.3339
F: 0.0464 0.2219 0.6781
F: 0.2112 0.0367 0.3339
F: 0.2219 0.0464 0.6781
F: 0.3194 0.5152 0.4502
F: 0.4848 0.6806 0.5498
F: 0.5152 0.3194 0.4502
F: 0.6806 0.4848 0.5498
F: 0.7781 0.9536 0.3219
F: 0.7888 0.9633 0.6661
F: 0.9536 0.7781 0.3219
F: 0.9633 0.7888 0.6661


[6]
For U2Si5Os3, a structure optimized by DFT (GGA-PBE) gives the theoretical X-ray powder pattern in this record (Cu Kα (λ = 1.5418 Å)).
Kinematic intensities with the Lorentz-polarization factor, no thermal factor.

The 10 most intense peaks (10° ≤ 2θ ≤ 80°), by angle:
- d 3.760, I 26
- d 3.638, I 48
- d 2.940, I 24
- d 2.881, I 24
- d 2.669, I 22
- d 2.582, I 66
- d 2.523, I 100
- d 2.516, I 33
- d 2.058, I 63
- d 1.614, I 16

Structure:
Cell: 8.1158 8.1158 5.7652 Å, 109.65 109.65 92.88°
Atoms (fractional coordinates):
U: 0.0952 0.3685 0.2391
U: 0.3685 0.0952 0.7391
U: 0.6315 0.9048 0.2609
U: 0.9048 0.6315 0.7609
Si: 0.0160 0.9840 0.7500
Si: 0.2373 0.4368 0.8363
Si: 0.2764 0.7236 0.7500
Si: 0.2955 0.7045 0.2500
Si: 0.4368 0.2373 0.3363
Si: 0.5632 0.7627 0.6637
Si: 0.7045 0.2955 0.7500
Si: 0.7236 0.2764 0.2500
Si: 0.7627 0.5632 0.1637
Si: 0.9840 0.0160 0.2500
Os: 0.0434 0.7534 0.3629
Os: 0.2466 0.9566 0.1371
Os: 0.5004 0.4996 0.2500
Os: 0.4996 0.5004 0.7500
Os: 0.7534 0.0434 0.8629
Os: 0.9566 0.2466 0.6371